# 1
# In2Ag5Au2
Theoretical X-ray diffraction stick pattern, Cu Kα (λ = 1.5418 Å). Input: a crystal structure in Alexandria, relaxed with PBE.
Peak positions follow from Bragg's law for the DFT cell and can differ from measured ones.

Structural model:
```
In2Ag5Au2
1.0
6.9752 -4.7785 0.0000
6.9752 4.7785 0.0000
-2.2935 0.0000 5.3229
In Ag Au
4 10 4
Cartesian
2.1904 2.3316 2.8414 In
5.8285 2.4638 2.6615 In
3.3371 -2.3316 0.1799 In
6.9752 -2.4638 0.0000 In
0.1405 0.2599 3.3094 Ag
1.2873 -0.2599 0.6480 Ag
3.7889 0.0664 1.9183 Ag
2.6421 -0.0664 4.5798 Ag
6.6788 0.0082 1.5484 Ag
5.5320 -0.0082 4.2098 Ag
9.4745 0.0031 1.3090 Ag
8.3277 -0.0031 3.9704 Ag
11.1963 0.0255 3.5955 Ag
12.3431 -0.0255 0.9340 Ag
4.1870 2.3563 5.1114 Au
8.8543 2.5460 2.7351 Au
5.3338 -2.3563 2.4500 Au
10.0010 -2.5460 0.0737 Au
```

Largest 10 diffraction maxima, in order of rising 2θ, 10 to 90 degrees two-theta:
two_theta	I (rel.)
27.85	36.1
33.68	82.8
36.29	43.1
37.65	82.0
38.34	25.7
38.73	90.0
39.10	19.1
39.23	100.0
45.43	27.8
76.97	20.4

# 2
# Ta3Mo5
Theoretical X-ray diffraction stick pattern, Cu Kα (λ = 1.5418 Å). Input: a crystal structure in Alexandria, relaxed with PBE.
Peak positions follow from Bragg's law for the DFT cell and can differ from measured ones.

Structural model:
```
Ta3Mo5
1.0
4.5457 0.0000 0.0000
0.0000 4.5457 0.0000
0.0000 0.0000 6.4245
Ta Mo
3 5
Cartesian
0.0000 0.0000 0.0000 Ta
0.0000 2.2728 1.6386 Ta
2.2728 0.0000 4.7859 Ta
0.0000 0.0000 3.2123 Mo
0.0000 2.2728 4.8109 Mo
2.2728 0.0000 1.6136 Mo
2.2728 2.2728 0.0000 Mo
2.2728 2.2728 3.2123 Mo
```

Largest 10 diffraction maxima, in order of rising 2θ, 10 to 90 degrees two-theta:
two_theta	I (rel.)
19.53	1.2
23.98	7.3
31.11	1.0
39.66	100.0
46.88	4.0
57.34	16.8
63.04	1.7
71.98	34.1
77.11	1.3
85.46	11.1

# 3
# LiNd2TiPt6
Theoretical X-ray diffraction stick pattern, Cu Kα (λ = 1.5418 Å). Input: a crystal structure in Alexandria, relaxed with PBE.
Peak positions follow from Bragg's law for the DFT cell and can differ from measured ones.

Structural model:
```
LiNd2TiPt6
1.0
2.8710 1.6576 7.7363
-2.8710 1.6576 7.7363
0.0000 -3.3151 7.7363
Li Nd Ti Pt
1 2 1 6
Cartesian
0.0000 0.0000 0.0000 Li
0.0000 0.0000 4.7908 Nd
0.0000 0.0000 18.4180 Nd
0.0000 0.0000 11.6044 Ti
-1.4607 -0.8433 13.4440 Pt
0.0000 -1.6867 9.7648 Pt
-1.4607 0.8433 9.7648 Pt
1.4607 -0.8433 13.4440 Pt
0.0000 1.6867 13.4440 Pt
1.4607 0.8433 9.7648 Pt
```

Largest 10 diffraction maxima, in order of rising 2θ, 10 to 90 degrees two-theta:
two_theta	I (rel.)
11.44	36.3
22.99	69.8
35.84	14.2
36.97	100.0
39.07	19.4
39.43	82.1
43.01	17.7
48.20	26.9
64.96	24.0
69.90	20.1

# 4
# Li2CeAlSe4
Theoretical X-ray diffraction stick pattern, Cu Kα (λ = 1.5418 Å). Input: a crystal structure in Alexandria, relaxed with PBE.
Peak positions follow from Bragg's law for the DFT cell and can differ from measured ones.

Structural model:
```
Li2CeAlSe4
1.0
9.1948 0.0000 0.0000
0.0000 7.3433 0.0000
0.0000 0.0000 6.2787
Li Ce Al Se
4 2 2 8
Cartesian
2.2538 1.2610 0.0000 Li
2.3436 6.0823 3.1394 Li
6.8512 6.0823 3.1394 Li
6.9410 1.2610 0.0000 Li
0.0000 2.4247 2.8747 Ce
4.5974 4.9187 6.0141 Ce
0.0000 4.9987 0.1647 Al
4.5974 2.3447 3.3040 Al
0.0000 2.6053 5.9501 Se
0.0000 5.2453 2.5553 Se
1.9970 6.1019 5.7042 Se
2.6004 1.2415 2.5648 Se
4.5974 2.0981 5.6947 Se
4.5974 4.7381 2.8107 Se
6.5944 1.2415 2.5648 Se
7.1977 6.1019 5.7042 Se
```

Largest 10 diffraction maxima, in order of rising 2θ, 10 to 90 degrees two-theta:
two_theta	I (rel.)
18.59	46.9
22.82	82.4
24.24	54.1
26.93	39.0
28.43	100.0
32.51	40.2
36.76	43.7
39.19	39.6
41.81	65.8
51.33	60.7

# 5
# Ga3PC
Theoretical X-ray diffraction stick pattern, Cu Kα (λ = 1.5418 Å). Input: a crystal structure in Alexandria, relaxed with PBE.
Peak positions follow from Bragg's law for the DFT cell and can differ from measured ones.

Structural model:
```
Ga3PC
1.0
4.2832 0.0000 0.0000
0.0000 4.2832 0.0000
0.0000 0.0000 4.2832
Ga P C
3 1 1
Cartesian
0.0000 0.0000 2.1416 Ga
0.0000 2.1416 0.0000 Ga
2.1416 0.0000 0.0000 Ga
2.1416 2.1416 2.1416 P
0.0000 0.0000 0.0000 C
```

Largest 10 diffraction maxima, in order of rising 2θ, 10 to 90 degrees two-theta:
two_theta	I (rel.)
20.74	15.3
29.49	4.3
36.33	100.0
42.20	57.3
47.46	6.7
52.32	2.2
61.20	36.2
65.36	3.0
73.30	36.8
77.14	12.0

# 6
# ErCu3Pd4O12
Theoretical X-ray diffraction stick pattern, Cu Kα (λ = 1.5418 Å). Input: a crystal structure in Alexandria, relaxed with PBE.
Peak positions follow from Bragg's law for the DFT cell and can differ from measured ones.

Structural model:
```
ErCu3Pd4O12
1.0
-3.7945 3.7945 3.7945
3.7945 -3.7945 3.7945
3.7945 3.7945 -3.7945
Er Cu Pd O
1 3 4 12
Cartesian
0.0000 0.0000 0.0000 Er
3.7945 0.0000 0.0000 Cu
0.0000 3.7945 0.0000 Cu
0.0000 0.0000 3.7945 Cu
1.8973 1.8973 -1.8973 Pd
1.8973 -1.8973 1.8973 Pd
-1.8973 1.8973 1.8973 Pd
1.8973 1.8973 1.8973 Pd
3.7945 2.5833 -1.4996 O
2.2949 0.0000 1.2112 O
5.2942 0.0000 1.2112 O
1.2112 2.2949 0.0000 O
2.5833 -1.4996 3.7945 O
0.0000 1.2112 2.2949 O
3.7945 2.5833 1.4996 O
1.2112 5.2942 0.0000 O
2.5833 1.4996 3.7945 O
-1.4996 3.7945 2.5833 O
1.4996 3.7945 2.5833 O
0.0000 1.2112 5.2942 O
```

Largest 10 diffraction maxima, in order of rising 2θ, 10 to 90 degrees two-theta:
two_theta	I (rel.)
16.52	9.5
28.82	2.1
33.40	100.0
37.48	5.8
44.68	6.0
47.95	22.6
59.69	46.4
70.15	11.9
79.95	16.8
89.46	4.3

# 7
# SmThS2
Theoretical X-ray diffraction stick pattern, Cu Kα (λ = 1.5418 Å). Input: a crystal structure in Alexandria, relaxed with PBE.
Peak positions follow from Bragg's law for the DFT cell and can differ from measured ones.

Structural model:
```
SmThS2
1.0
3.9384 0.0000 0.0000
-1.9692 3.4108 0.0000
0.0000 0.0000 13.8236
Sm Th S
2 2 4
Cartesian
0.0000 0.0000 0.0000 Sm
0.0000 0.0000 6.9118 Sm
0.0000 2.2739 3.4559 Th
1.9692 1.1369 10.3677 Th
0.0000 2.2739 8.5891 S
0.0000 2.2739 12.1463 S
1.9692 1.1369 1.6773 S
1.9692 1.1369 5.2345 S
```

Largest 10 diffraction maxima, in order of rising 2θ, 10 to 90 degrees two-theta:
two_theta	I (rel.)
25.78	30.9
26.92	41.4
29.20	100.0
32.66	62.1
42.07	29.0
46.09	40.9
47.63	27.6
53.57	33.7
55.50	16.9
72.82	21.0

# 8
# Co3Cu
Theoretical X-ray diffraction stick pattern, Cu Kα (λ = 1.5418 Å). Input: a crystal structure in Alexandria, relaxed with PBE.
Peak positions follow from Bragg's law for the DFT cell and can differ from measured ones.

Structural model:
```
Co3Cu
1.0
-1.7755 1.7755 3.5440
1.7755 -1.7755 3.5440
1.7755 1.7755 -3.5440
Co Cu
3 1
Cartesian
0.0000 0.0000 0.0000 Co
1.7755 0.0000 1.7720 Co
0.0000 1.7755 1.7720 Co
0.0000 0.0000 3.5440 Cu
```

Largest 4 diffraction maxima, in order of rising 2θ, 10 to 90 degrees two-theta:
two_theta	I (rel.)
44.21	100.0
51.47	30.9
51.58	15.4
75.82	26.5

# 9
# Ba2Na2Hg15
Theoretical X-ray diffraction stick pattern, Cu Kα (λ = 1.5418 Å). Input: a crystal structure in Alexandria, relaxed with PBE.
Peak positions follow from Bragg's law for the DFT cell and can differ from measured ones.

Structural model:
```
Ba2Na2Hg15
1.0
5.1178 2.9548 5.9716
-5.1178 2.9548 5.9716
0.0000 -5.9095 5.9716
Ba Na Hg
2 2 15
Cartesian
0.0000 0.0000 3.1002 Ba
0.0000 0.0000 14.8147 Ba
0.0000 0.0000 7.2725 Na
0.0000 0.0000 10.6424 Na
-2.5589 -1.4774 5.9716 Hg
0.0000 -3.1400 5.3263 Hg
-2.7193 1.5700 5.3263 Hg
-1.4990 -2.5964 8.9574 Hg
-2.9981 0.0000 8.9574 Hg
-2.7193 -1.5700 12.5886 Hg
-2.5589 1.4774 11.9432 Hg
1.4990 -2.5964 8.9574 Hg
0.0000 2.9548 5.9716 Hg
-1.4990 2.5964 8.9574 Hg
2.7193 1.5700 5.3263 Hg
2.9981 0.0000 8.9574 Hg
1.4990 2.5964 8.9574 Hg
2.7193 -1.5700 12.5886 Hg
0.0000 3.1400 12.5886 Hg
```

Largest 10 diffraction maxima, in order of rising 2θ, 10 to 90 degrees two-theta:
two_theta	I (rel.)
17.33	53.8
28.33	24.5
28.44	22.5
29.93	37.7
32.12	58.6
33.85	100.0
35.07	35.3
38.27	69.8
58.60	17.4
62.91	15.4

# 10
# Li2CuSb2Pd
Theoretical X-ray diffraction stick pattern, Cu Kα (λ = 1.5418 Å). Input: a crystal structure in Alexandria, relaxed with PBE.
Peak positions follow from Bragg's law for the DFT cell and can differ from measured ones.

Structural model:
```
Li2CuSb2Pd
1.0
-2.9621 6.3858 2.9653
2.9621 -6.3858 2.9653
2.9621 6.3858 -2.9653
Li Cu Sb Pd
4 2 4 2
Cartesian
1.4839 1.8232 0.0000 Li
1.4839 -1.8232 2.9653 Li
1.4781 8.2089 0.0000 Li
1.4781 4.5626 2.9653 Li
0.0000 0.0000 1.4827 Cu
0.0000 0.0000 4.4480 Cu
4.4748 1.7059 0.0000 Sb
1.5128 4.6799 0.0000 Sb
1.4493 1.7059 2.9653 Sb
-1.5128 4.6799 2.9653 Sb
2.9621 0.0000 1.4827 Pd
0.0000 6.3858 1.4827 Pd
```

Largest 10 diffraction maxima, in order of rising 2θ, 10 to 90 degrees two-theta:
two_theta	I (rel.)
13.87	43.9
25.42	100.0
33.33	39.8
41.58	90.2
43.17	41.6
47.93	16.2
50.76	29.5
62.70	13.3
74.75	13.8
78.07	26.9

# 11
# In2Hg5Bi2
Theoretical X-ray diffraction stick pattern, Cu Kα (λ = 1.5418 Å). Input: a crystal structure in Alexandria, relaxed with PBE.
Peak positions follow from Bragg's law for the DFT cell and can differ from measured ones.

Structural model:
```
In2Hg5Bi2
1.0
7.8510 -5.1370 0.0000
7.8510 5.1370 0.0000
-3.3877 0.0000 6.6706
In Hg Bi
4 10 4
Cartesian
6.1571 2.6846 3.3353 In
9.0323 2.4814 5.1844 In
7.8510 -2.6846 0.0000 In
10.7262 -2.4814 1.8491 In
0.5306 0.7849 2.6090 Hg
-1.1632 -0.7849 5.9442 Hg
3.6766 1.0016 4.2673 Hg
5.3704 -1.0016 0.9320 Hg
8.5455 0.2441 0.3740 Hg
6.8517 -0.2441 3.7093 Hg
11.6226 0.1158 0.2130 Hg
9.9287 -0.1158 3.5483 Hg
13.1154 0.3776 2.9518 Hg
11.4215 -0.3776 6.2871 Hg
5.6434 2.0188 0.2091 Bi
9.0650 3.0079 1.8880 Bi
3.9495 -2.0188 3.5444 Bi
7.3711 -3.0079 5.2233 Bi
```

Largest 10 diffraction maxima, in order of rising 2θ, 10 to 90 degrees two-theta:
two_theta	I (rel.)
26.78	95.1
28.67	96.0
29.55	37.6
29.77	44.5
31.49	92.6
32.27	92.3
32.48	41.6
33.16	100.0
38.93	49.6
44.96	41.0

# 12
# Pu8Mn5Pt
Theoretical X-ray diffraction stick pattern, Cu Kα (λ = 1.5418 Å). Input: a crystal structure in Alexandria, relaxed with PBE.
Peak positions follow from Bragg's law for the DFT cell and can differ from measured ones.

Structural model:
```
Pu8Mn5Pt
1.0
-4.0180 4.0180 4.2888
4.0180 -4.0180 4.2888
4.0180 4.0180 -4.2888
Pu Mn Pt
8 5 1
Cartesian
3.5590 2.6990 -2.7167 Pu
3.3658 1.4298 0.5486 Pu
0.4590 1.3190 1.5721 Pu
2.5883 -0.6522 3.7403 Pu
1.4298 4.6703 -0.5486 Pu
1.3190 -0.4590 7.0055 Pu
2.6990 4.4770 2.7167 Pu
0.6522 2.5883 4.8374 Pu
1.3244 2.3309 -0.9664 Mn
5.7051 1.3244 0.9664 Mn
0.0000 0.0000 4.2888 Mn
2.6936 1.6871 3.3224 Mn
-1.6871 2.6936 5.2552 Mn
0.0000 4.0180 2.1444 Pt
```

Largest 10 diffraction maxima, in order of rising 2θ, 10 to 90 degrees two-theta:
two_theta	I (rel.)
26.90	58.4
30.49	57.9
33.26	100.0
35.10	99.0
35.32	47.1
41.30	73.9
41.88	66.3
55.44	31.7
56.12	31.2
58.42	27.1

# 13
# Mn8ReRu3
Theoretical X-ray diffraction stick pattern, Cu Kα (λ = 1.5418 Å). Input: a crystal structure in Alexandria, relaxed with PBE.
Peak positions follow from Bragg's law for the DFT cell and can differ from measured ones.

Structural model:
```
Mn8ReRu3
1.0
4.6647 0.0000 0.0000
-2.3324 4.0398 0.0000
0.0000 0.0000 7.5964
Mn Re Ru
8 1 3
Cartesian
0.0000 0.0000 0.0000 Mn
0.0000 0.0000 3.7911 Mn
0.0000 1.4088 1.9092 Mn
-1.1123 3.3354 1.9092 Mn
1.2192 0.7039 5.7011 Mn
1.1123 3.3354 1.9092 Mn
3.4455 0.7039 5.7011 Mn
2.3324 2.6320 5.7011 Mn
2.3324 1.3466 0.5006 Re
0.0000 2.6932 4.3152 Ru
0.0000 2.6932 7.0699 Ru
2.3324 1.3466 3.2670 Ru
```

Largest 10 diffraction maxima, in order of rising 2θ, 10 to 90 degrees two-theta:
two_theta	I (rel.)
24.96	15.1
38.60	58.5
42.12	100.0
44.87	14.8
45.64	87.5
46.52	60.3
72.26	34.3
74.81	19.3
78.83	22.8
82.76	20.5